# 1
Starting from a cell relaxed with GGA-PBE, the XRD peak list of TlCd3In2Hg6 was simulated for Cu Kα, 1.54184 Å.
Peak positions follow from Bragg's law for the DFT cell and can differ from measured ones.

The 6 most intense peaks (10 to 80 degrees two-theta), low angle first:
d (Å)  intensity  index
4.070  61.2  1 0 1
2.903  67.6  1 1 1
2.718  100.0  1 1 3
2.582  80.3  1 1 4
2.494  69.0  1 0 7
2.071  79.6  2 0 0

Crystal structure
abc: 4.1426 4.1426 21.8674
angles: 90.00 90.00 90.00
Sites, in units of the cell vectors:
1 Tl 0.0000 0.0000 0.0000
2 Cd 0.5000 0.5000 0.2344
3 Cd 0.5000 0.5000 0.5000
4 Cd 0.5000 0.5000 0.7656
5 In 0.0000 0.0000 0.2959
6 In 0.0000 0.0000 0.7041
7 Hg 0.0000 0.5000 0.1251
8 Hg 0.0000 0.5000 0.8749
9 Hg 0.5000 0.0000 0.1251
10 Hg 0.5000 0.0000 0.8749
11 Hg 0.5000 0.5000 0.3713
12 Hg 0.5000 0.5000 0.6287



# 2
Starting from a cell relaxed with GGA-PBE, the XRD peak list of B2PPb was simulated for Cu Kα, 1.54184 Å.
Peak positions follow from Bragg's law for the DFT cell and can differ from measured ones.

The 6 most intense peaks (10 to 80 degrees two-theta), low angle first:
d (Å)  intensity  index
4.486  71.2  1 0 1
2.879  100.0  1 1 2
2.530  31.3  2 0 0
2.204  27.8  2 1 1
1.751  25.6  2 0 4
1.520  29.7  3 1 2

Crystal structure
abc: 5.0599 5.0599 9.7028
angles: 90.00 90.00 90.00
Sites, in units of the cell vectors:
1 B 0.1783 0.2500 0.1250
2 B 0.2500 0.6783 0.3750
3 B 0.2500 0.8217 0.8750
4 B 0.3217 0.2500 0.6250
5 B 0.6783 0.7500 0.6250
6 B 0.7500 0.1783 0.8750
7 B 0.7500 0.3217 0.3750
8 B 0.8217 0.7500 0.1250
9 P 0.0000 0.0000 0.0000
10 P 0.0000 0.5000 0.2500
11 P 0.5000 0.0000 0.7500
12 P 0.5000 0.5000 0.5000
13 Pb 0.0000 0.0000 0.5000
14 Pb 0.0000 0.5000 0.7500
15 Pb 0.5000 0.0000 0.2500
16 Pb 0.5000 0.5000 0.0000